Computed XRD peak list
Compound: Sr3Ir2O7
Radiation: Cu Kα X-rays
Structure: a crystal structure in the Materials Project, relaxed with PBE
Intensities are scaled so that the largest is 1000.

Peak list (10 most intense, 15 to 90 degrees two-theta, by angle)
2theta, intensity
17.1, 390
22.7, 400
30.8, 609
30.9, 1000
31.2, 933
32.6, 532
43.6, 270
45.4, 568
54.9, 212
55.1, 305

abc: 5.4990 5.8037 10.7126
angles: 90.00 104.17 90.00
Space group C2/m (No. 12)
Inequivalent atoms, fractional coordinates:
Sr (0.0000, 0.0000, 0.0000) [2 per cell]
Sr (0.1949, 0.0000, 0.3700) [4 per cell]
Ir (0.1025, 0.5000, 0.1966) [4 per cell]
O (0.0000, 0.5000, 0.0000) [2 per cell]
O (0.1098, 0.2198, 0.8055) [8 per cell]
O (0.1960, 0.5000, 0.3920) [4 per cell]

Computed XRD peak list
Compound: MgFeMoS4
Radiation: Cu Kα X-rays
Structure: a crystal structure in the Materials Project, relaxed with PBE
Intensities are scaled so that the largest is 1000.

Peak list (10 most intense, 15 to 90 degrees two-theta, by angle)
2theta, intensity
15.0, 533
15.5, 587
29.1, 611
29.9, 660
35.4, 520
35.8, 1000
46.7, 373
47.5, 227
50.3, 266
51.2, 680

abc: 6.9265 7.1227 7.1357
angles: 61.20 61.04 60.99
Space group P-1 (No. 2)
Inequivalent atoms, fractional coordinates:
Mg (0.1194, 0.1317, 0.1290) [2 per cell]
Fe (0.5000, 0.0000, 0.5000) [1 per cell]
Fe (0.5000, 0.5000, 0.0000) [1 per cell]
Mo (0.0000, 0.5000, 0.5000) [1 per cell]
Mo (0.5000, 0.5000, 0.5000) [1 per cell]
S (0.2694, 0.2420, 0.7192) [2 per cell]
S (0.2701, 0.7190, 0.2410) [2 per cell]
S (0.2835, 0.2577, 0.2574) [2 per cell]
S (0.2985, 0.7422, 0.7427) [2 per cell]